No. 1
# DyYTm6
Calculated X-ray diffraction stick pattern, Cu Kα X-rays. Input: a crystal structure in OQMD, relaxed with PBE.
Intensities are scaled so that the largest is 100.

Largest 12 diffraction maxima, low angle first, 10 to 90 degrees two-theta:
- 2θ 28.84, I = 24
- 2θ 32.16, I = 24
- 2θ 33.12, I = 100
- 2θ 43.74, I = 16
- 2θ 51.11, I = 20
- 2θ 57.95, I = 20
- 2θ 61.68, I = 22
- 2θ 62.27, I = 16
- 2θ 69.50, I = 4
- 2θ 80.88, I = 8
- 2θ 84.65, I = 14
- 2θ 89.20, I = 8

Crystal structure
```
DyYTm6
1.0
7.1483 0.0000 0.0000
-3.5741 6.1906 0.0000
0.0000 0.0000 5.5659
Dy Y Tm
1 1 6
Direct
0.0000 0.0000 0.0000 Dy
0.3333 0.6667 0.5000 Y
0.3342 0.1671 0.5000 Tm
0.5006 0.0011 0.0000 Tm
0.5006 0.4994 0.0000 Tm
0.8329 0.1671 0.5000 Tm
0.8329 0.6658 0.5000 Tm
0.9989 0.4994 0.0000 Tm
```

No. 2
# Dy2Y3Tm3
Calculated X-ray diffraction stick pattern, Cu Kα X-rays. Input: a crystal structure in OQMD, relaxed with PBE.
Intensities are scaled so that the largest is 100.

Largest 12 diffraction maxima, low angle first, 10 to 90 degrees two-theta:
- 2θ 15.82, I = 5
- 2θ 28.60, I = 27
- 2θ 31.95, I = 24
- 2θ 32.85, I = 100
- 2θ 43.40, I = 17
- 2θ 50.65, I = 20
- 2θ 57.51, I = 20
- 2θ 61.15, I = 22
- 2θ 61.70, I = 16
- 2θ 80.14, I = 8
- 2θ 83.79, I = 14
- 2θ 88.39, I = 8

Crystal structure
```
Dy2Y3Tm3
1.0
7.2083 0.0000 0.0000
-3.6042 6.2426 0.0000
0.0000 0.0000 5.6026
Dy Y Tm
2 3 3
Direct
0.0000 0.0000 0.0000 Dy
0.3333 0.6667 0.5000 Dy
0.5003 0.0005 0.0000 Y
0.5003 0.4997 0.0000 Y
0.9995 0.4997 0.0000 Y
0.3337 0.1668 0.5000 Tm
0.8332 0.1668 0.5000 Tm
0.8332 0.6663 0.5000 Tm
```

No. 3
# DyTmZr
Calculated X-ray diffraction stick pattern, Cu Kα X-rays. Input: a crystal structure in OQMD, relaxed with PBE.
Intensities are scaled so that the largest is 100.

Largest 12 diffraction maxima, low angle first, 10 to 90 degrees two-theta:
- 2θ 21.17, I = 43
- 2θ 24.49, I = 5
- 2θ 34.91, I = 100
- 2θ 41.18, I = 23
- 2θ 50.20, I = 18
- 2θ 55.06, I = 10
- 2θ 62.60, I = 37
- 2θ 66.87, I = 8
- 2θ 73.72, I = 11
- 2θ 77.71, I = 8
- 2θ 84.24, I = 16
- 2θ 88.11, I = 3

Crystal structure
```
DyTmZr
1.0
0.0000 3.6350 3.6350
3.6350 0.0000 3.6350
3.6350 3.6350 0.0000
Dy Tm Zr
1 1 1
Direct
0.0000 0.0000 0.0000 Dy
0.2500 0.2500 0.2500 Tm
0.5000 0.5000 0.5000 Zr
```

No. 4
# DyY
Calculated X-ray diffraction stick pattern, Cu Kα X-rays. Input: a crystal structure in OQMD, relaxed with PBE.
Intensities are scaled so that the largest is 100.

Largest 12 diffraction maxima, low angle first, 10 to 90 degrees two-theta:
- 2θ 14.08, I = 6
- 2θ 28.38, I = 24
- 2θ 31.72, I = 24
- 2θ 32.60, I = 100
- 2θ 43.08, I = 16
- 2θ 50.25, I = 21
- 2θ 57.07, I = 20
- 2θ 60.66, I = 22
- 2θ 61.20, I = 16
- 2θ 79.45, I = 8
- 2θ 83.04, I = 14
- 2θ 87.60, I = 8

Crystal structure
```
DyY
1.0
5.6414 0.0000 0.0000
0.0000 6.2874 3.6320
0.0000 -6.2874 3.6320
Dy Y
4 4
Direct
0.2500 0.0819 0.4145 Dy
0.2500 0.0831 0.9169 Dy
0.7500 0.4145 0.0819 Dy
0.7500 0.9169 0.0831 Dy
0.2500 0.5817 0.4143 Y
0.2500 0.5828 0.9169 Y
0.7500 0.4143 0.5817 Y
0.7500 0.9169 0.5828 Y
```